No. 1
Zr6NbAg: theoretical powder X-ray diffraction pattern (a wavelength of 1.5418 Å), based on a crystal structure in Alexandria, relaxed with PBE.

Structural model:
```
Zr6NbAg
1.0
3.4163 0.0000 0.0000
0.0000 5.1900 0.0000
0.0000 0.0000 19.6037
Zr Nb Ag
12 2 2
Cartesian
0.0000 0.0000 2.1949
0.0000 0.0000 7.3611
0.0000 0.0000 12.2426
0.0000 0.0000 17.4088
0.0000 2.5950 5.0306
0.0000 2.5950 14.5732
1.7082 0.0000 4.7713
1.7082 0.0000 14.8324
1.7082 2.5950 2.4407
1.7082 2.5950 7.6069
1.7082 2.5950 11.9968
1.7082 2.5950 17.1630
0.0000 2.5950 9.8019
1.7082 0.0000 0.0000
0.0000 2.5950 0.0000
1.7082 0.0000 9.8019
```

Peak list (8 most intense, 2θ from 10° to 90°, in order of rising 2θ)
34.56°, intensity 29
36.43°, intensity 100
36.67°, intensity 22
51.28°, intensity 16
63.16°, intensity 19
65.41°, intensity 9
65.88°, intensity 13
77.40°, intensity 9

***

No. 2
Nd4Ag3: theoretical powder X-ray diffraction pattern (a wavelength of 1.5418 Å), based on a crystal structure in Alexandria, relaxed with PBE.

Structural model:
```
Nd4Ag3
1.0
7.1163 4.1086 2.1965
-7.1163 4.1086 2.1965
0.0000 -8.2171 2.1965
Nd Ag
8 6
Cartesian
0.0000 0.0000 0.0000
-3.9251 -3.4833 3.2475
-4.9792 1.6576 3.3420
1.0541 -5.1409 3.3420
0.0000 0.0000 3.2947
-1.0541 5.1409 3.2475
4.9792 -1.6576 3.2475
3.9251 3.4833 3.3420
-0.9430 -2.8358 2.0397
-1.9843 2.2346 2.0397
-2.9274 -0.6012 4.5497
2.9274 0.6012 2.0397
1.9843 -2.2346 4.5497
0.9430 2.8358 4.5497
```

Peak list (8 most intense, 2θ from 10° to 90°, in order of rising 2θ)
23.39°, intensity 1
33.31°, intensity 100
47.82°, intensity 17
53.89°, intensity 1
59.53°, intensity 33
69.95°, intensity 10
79.71°, intensity 13
89.18°, intensity 3

***

No. 3
Nd2Ag17: theoretical powder X-ray diffraction pattern (a wavelength of 1.5418 Å), based on a crystal structure in Alexandria, relaxed with PBE.

Structural model:
```
Nd2Ag17
1.0
4.8197 2.7827 4.7699
-4.8197 2.7827 4.7699
0.0000 -5.5653 4.7699
Nd Ag
2 17
Cartesian
0.0000 0.0000 2.2451
0.0000 0.0000 12.0648
-2.4098 -1.3913 4.7699
0.0000 -2.8241 4.5518
-2.4457 1.4121 4.5518
-1.4526 -2.5161 7.1549
-2.9053 0.0000 7.1549
-2.4457 -1.4121 9.7581
0.0000 0.0000 5.7190
-2.4098 1.3913 9.5399
1.4527 -2.5161 7.1549
0.0000 2.7827 4.7699
-1.4527 2.5161 7.1549
0.0000 0.0000 8.5908
2.4457 1.4121 4.5518
2.9053 0.0000 7.1549
1.4527 2.5161 7.1549
2.4457 -1.4120 9.7581
0.0000 2.8241 9.7581
```

Peak list (8 most intense, 2θ from 10° to 90°, in order of rising 2θ)
32.17°, intensity 35
32.98°, intensity 28
37.31°, intensity 59
37.42°, intensity 100
37.72°, intensity 35
38.09°, intensity 31
42.01°, intensity 63
67.30°, intensity 23

***

No. 4
Nd5Ag6: theoretical powder X-ray diffraction pattern (a wavelength of 1.5418 Å), based on a crystal structure in Alexandria, relaxed with PBE.

Structural model:
```
Nd5Ag6
1.0
5.3446 0.0000 0.0000
-0.0015 7.3087 0.0000
-1.1142 -3.6532 7.7053
Nd Ag
5 6
Cartesian
0.0000 0.0000 0.0000
0.6587 -0.0020 5.5591
0.7709 3.6511 4.8763
3.4581 0.0044 2.8290
3.5702 3.6575 2.1462
0.8801 1.7265 2.4956
0.8798 5.5894 2.5057
1.5594 -2.1042 7.7046
2.6696 5.7597 0.0007
3.3491 -1.9339 5.1997
3.3489 1.9290 5.2097
```

Peak list (8 most intense, 2θ from 10° to 90°, in order of rising 2θ)
31.04°, intensity 16
31.50°, intensity 21
32.85°, intensity 100
34.23°, intensity 29
34.93°, intensity 36
36.38°, intensity 61
44.23°, intensity 16
49.91°, intensity 15

***

No. 5
Nd3Ag11: theoretical powder X-ray diffraction pattern (a wavelength of 1.5418 Å), based on a crystal structure in Alexandria, relaxed with PBE.

Structural model:
```
Nd3Ag11
1.0
-2.3536 4.8411 6.7981
2.3536 -4.8411 6.7981
2.3536 4.8411 -6.7981
Nd Ag
3 11
Cartesian
0.0000 0.0000 0.0000
0.0000 0.0000 4.0900
0.0000 0.0000 9.5061
2.3536 -1.3627 2.3225
2.3536 -2.1361 5.0700
2.3536 2.9885 0.0000
2.3536 1.3627 2.3225
0.0000 2.7051 1.7281
0.0000 4.8411 0.0000
2.3536 2.1361 5.0700
0.0000 3.4784 4.4755
0.0000 1.8526 6.7981
0.0000 6.9772 1.7281
0.0000 6.2039 4.4755
```

Peak list (8 most intense, 2θ from 10° to 90°, in order of rising 2θ)
32.18°, intensity 28
33.09°, intensity 100
33.67°, intensity 35
34.10°, intensity 28
36.24°, intensity 39
38.23°, intensity 90
39.78°, intensity 22
42.52°, intensity 21

***

No. 6
Nd6Ni2Ag: theoretical powder X-ray diffraction pattern (a wavelength of 1.5418 Å), based on a crystal structure in Alexandria, relaxed with PBE.

Structural model:
```
Nd6Ni2Ag
1.0
-4.7453 5.0383 5.1668
4.7453 -5.0383 5.1668
4.7453 5.0383 -5.1668
Nd Ni Ag
12 4 2
Cartesian
4.7453 3.0443 -2.8263
2.7768 1.8050 0.0000
6.7137 1.8050 0.0000
1.8403 5.0383 -1.8065
2.9050 0.0000 3.3603
0.0000 1.9939 2.3405
4.7453 3.0443 2.8263
1.8403 5.0383 1.8065
2.9050 0.0000 6.9732
-1.9685 3.2332 5.1668
1.9685 3.2332 5.1668
0.0000 1.9939 7.9930
4.7453 0.0000 1.2655
0.0000 3.6049 0.0000
0.0000 6.4716 0.0000
0.0000 5.0383 3.9013
0.0000 0.0000 0.0000
0.0000 0.0000 5.1668
```

Peak list (8 most intense, 2θ from 10° to 90°, in order of rising 2θ)
27.93°, intensity 21
29.59°, intensity 34
31.15°, intensity 100
33.18°, intensity 65
33.35°, intensity 46
33.83°, intensity 37
34.59°, intensity 24
58.65°, intensity 32

***

No. 7
Nd2Ni3AgSb4: theoretical powder X-ray diffraction pattern (a wavelength of 1.5418 Å), based on a crystal structure in Alexandria, relaxed with PBE.

Structural model:
```
Nd2Ni3AgSb4
1.0
4.5342 0.0000 0.0000
0.0000 4.5342 0.0000
0.0000 0.0000 10.3327
Nd Ni Ag Sb
2 3 1 4
Cartesian
0.0000 2.2671 2.5778
2.2671 0.0000 7.7549
0.0000 2.2671 9.1247
2.2671 0.0000 1.2079
2.2671 2.2671 5.1663
0.0000 0.0000 5.1663
0.0000 0.0000 0.0000
0.0000 2.2671 6.6305
2.2671 0.0000 3.7022
2.2671 2.2671 0.0000
```

Peak list (8 most intense, 2θ from 10° to 90°, in order of rising 2θ)
32.65°, intensity 47
32.88°, intensity 100
39.76°, intensity 62
48.41°, intensity 21
52.36°, intensity 24
57.49°, intensity 21
64.37°, intensity 18
67.83°, intensity 24

***

No. 8
Nd2AgRh3O8: theoretical powder X-ray diffraction pattern (a wavelength of 1.5418 Å), based on a crystal structure in Alexandria, relaxed with PBE.

Structural model:
```
Nd2AgRh3O8
1.0
3.2894 1.8991 5.2614
-3.2894 1.8991 5.2614
0.0000 -3.7982 5.2614
Nd Ag Rh O
2 1 3 8
Cartesian
0.0000 0.0000 0.0000
0.0000 0.0000 6.2216
0.0000 0.0000 11.9229
0.0000 -1.8901 8.7266
-1.6369 0.9451 8.7266
1.6369 0.9451 8.7266
0.0000 -1.7075 4.5379
-1.4787 0.8537 4.5379
0.0000 0.0000 2.4597
-1.5320 -0.8845 7.7349
1.4787 0.8537 4.5379
0.0000 0.0000 9.6752
1.5320 -0.8845 7.7349
0.0000 1.7690 7.7349
```

Peak list (8 most intense, 2θ from 10° to 90°, in order of rising 2θ)
27.11°, intensity 40
31.92°, intensity 35
32.09°, intensity 100
32.42°, intensity 53
33.44°, intensity 32
51.36°, intensity 33
55.90°, intensity 40
56.76°, intensity 31